Li3CrN2: computed X-ray diffraction stick pattern (copper Kα), based on a cell relaxed with PBE.

Top 10 peaks for 2θ from 10° to 90°, in order of falling intensity:
two_theta	I_rel
14.9	100
29.4	90
25.2	85
27.5	82
41.7	72
68.5	30
49.4	29
51.7	29
35.9	26
45.8	18

Crystal structure
```
Li3CrN2
1.0
-3.539 3.539 5.473
3.539 -3.539 5.473
3.539 3.539 -5.473
Li Cr N
12 4 8
Direct
0.109 0.359 0.217
0.109 0.891 0.750
0.252 0.502 0.750
0.359 0.109 0.717
0.359 0.641 0.250
0.498 0.748 0.750
0.502 0.252 0.250
0.641 0.359 0.750
0.641 0.891 0.283
0.748 0.498 0.250
0.891 0.109 0.250
0.891 0.641 0.783
0.003 0.253 0.750
0.253 0.003 0.250
0.747 0.997 0.750
0.997 0.747 0.250
0.126 0.671 0.455
0.284 0.329 0.955
0.329 0.284 0.455
0.329 0.874 0.045
0.671 0.126 0.955
0.671 0.716 0.545
0.716 0.671 0.045
0.874 0.329 0.545
```



LiCrN: computed X-ray diffraction stick pattern (copper Kα), based on a cell relaxed with PBE.

Top 10 peaks for 2θ from 10° to 90°, in order of falling intensity:
two_theta	I_rel
21.8	100
38.7	38
33.7	32
48.2	31
36.2	28
43.0	20
53.7	16
62.0	15
52.7	15
38.0	12

Crystal structure
```
LiCrN
1.0
6.948 0.000 0.000
0.000 3.135 0.000
0.000 0.000 5.030
Li Cr N
4 4 4
Direct
0.104 0.250 0.098
0.396 0.750 0.598
0.604 0.250 0.402
0.896 0.750 0.902
0.126 0.250 0.579
0.374 0.750 0.079
0.626 0.250 0.921
0.874 0.750 0.421
0.154 0.750 0.341
0.346 0.250 0.841
0.654 0.750 0.159
0.846 0.250 0.659
```